Na3InAs2: computed powder XRD pattern (a wavelength of 1.5418 Å), based on a structure optimized by DFT (GGA-PBE).
Intensities are scaled so that the largest is 100.

Largest 10 diffraction maxima, in order of rising 2θ, 5 to 70 degrees two-theta:
h k l, 2θ (°), I (rel.)
1 0 2, 14.74, 100
1 1 -1, 15.62, 64
0 2 0, 23.40, 54
3 1 1, 30.60, 78
1 1 -5, 31.47, 52
0 2 4, 32.62, 59
4 0 0, 36.72, 71
1 3 -1, 37.00, 56
2 0 -6, 37.85, 56
2 0 6, 39.53, 90

abc: 9.8020 7.6037 15.8913
angles: 90.00 92.83 90.00
Element x y z (fractional)
Na1 0.0607 0.0111 0.3947
Na2 0.0607 0.4889 0.8947
Na3 0.1168 0.1526 0.0467
Na4 0.1168 0.3474 0.5467
Na5 0.1790 0.5083 0.3621
Na6 0.1790 0.9917 0.8621
Na7 0.3124 0.0318 0.6488
Na8 0.3124 0.4682 0.1488
Na9 0.3739 0.1513 0.2970
Na10 0.3739 0.3487 0.7970
Na11 0.4332 0.5261 0.6055
Na12 0.4332 0.9739 0.1055
Na13 0.5668 0.0261 0.8945
Na14 0.5668 0.4739 0.3945
Na15 0.6261 0.6513 0.2030
Na16 0.6261 0.8487 0.7030
Na17 0.6876 0.5318 0.8512
Na18 0.6876 0.9682 0.3512
Na19 0.8210 0.0083 0.1379
Na20 0.8210 0.4917 0.6379
Na21 0.8832 0.6526 0.4533
Na22 0.8832 0.8474 0.9533
Na23 0.9393 0.5111 0.1053
Na24 0.9393 0.9889 0.6053
In1 0.1378 0.6538 0.7095
In2 0.1378 0.8462 0.2095
In3 0.3748 0.6404 0.9585
In4 0.3748 0.8596 0.4585
In5 0.6252 0.1404 0.5415
In6 0.6252 0.3596 0.0415
In7 0.8622 0.1538 0.7905
In8 0.8622 0.3462 0.2905
As1 0.0934 0.2104 0.2260
As2 0.0934 0.2896 0.7260
As3 0.1512 0.7370 0.5399
As4 0.1512 0.7630 0.0399
As5 0.3717 0.2219 0.4770
As6 0.3717 0.2781 0.9770
As7 0.3778 0.7420 0.7928
As8 0.3778 0.7580 0.2928
As9 0.6222 0.2420 0.7072
As10 0.6222 0.2580 0.2072
As11 0.6283 0.7219 0.0230
As12 0.6283 0.7781 0.5230
As13 0.8488 0.2370 0.9601
As14 0.8488 0.2630 0.4601
As15 0.9066 0.7104 0.2740
As16 0.9066 0.7896 0.7740